Record 1
The following is a computed X-ray powder pattern of HfMgN2. It was derived from a crystal structure in the Materials Project, relaxed with GGA-PBE, using copper Kα.

Structure:
abc: 6.4066 4.4360 7.4321
angles: 90.00 90.00 90.00
Space group Pnma (No. 62)
Symmetry-distinct sites (fractional):
Hf  0.0876  0.2500  0.1304 [4 per cell]
Mg  0.0783  0.2500  0.6187 [4 per cell]
N  0.0792  0.7500  0.1149 [4 per cell]
N  0.0846  0.7500  0.6322 [4 per cell]

Largest 6 diffraction maxima, low angle first, 5° ≤ 2θ ≤ 70°:
(hkl)  2θ (°)  I/Imax
1 0 1  18.28  51.9
0 1 1  23.35  49.2
1 0 2  27.78  51.5
2 1 0  34.48  100.0
0 2 0  40.68  24.1
3 0 2  49.21  27.0

Record 2
The following is a computed X-ray powder pattern of Cd3Au8. It was derived from a crystal structure in the Materials Project, relaxed with GGA-PBE, using copper Kα.

Structure:
abc: 3.0191 3.0191 28.5427
angles: 90.00 90.00 120.00
Space group P3m1 (No. 156)
Symmetry-distinct sites (fractional):
Cd  0.0000  0.0000  0.0000 [1 per cell]
Cd  0.0000  0.0000  0.1673 [1 per cell]
Cd  0.0000  0.0000  0.3341 [1 per cell]
Au  0.0000  0.0000  0.6681 [1 per cell]
Au  0.0000  0.0000  0.8336 [1 per cell]
Au  0.6667  0.3333  0.0839 [1 per cell]
Au  0.6667  0.3333  0.2504 [1 per cell]
Au  0.6667  0.3333  0.4181 [1 per cell]
Au  0.6667  0.3333  0.5848 [1 per cell]
Au  0.6667  0.3333  0.7505 [1 per cell]
Au  0.6667  0.3333  0.9167 [1 per cell]

Largest 6 diffraction maxima, low angle first, 5° ≤ 2θ ≤ 70°:
(hkl)  2θ (°)  I/Imax
1 0 0  34.30  27.5
0 0 12  37.82  25.4
0 1 6  39.32  100.0
1 0 12  51.97  17.1
1 1 0  61.42  18.1
0 1 18  69.30  19.0

Record 3
The following is a computed X-ray powder pattern of CaNb4O14. It was derived from a crystal structure in the Materials Project, relaxed with GGA-PBE, using copper Kα.

Structure:
abc: 7.4875 7.4875 18.6938
angles: 90.00 90.00 120.00
Space group R-3m (No. 166, hexagonal axes)
Symmetry-distinct sites (fractional):
Ca  0.0000  0.0000  0.0000 [3 per cell]
Nb  0.0000  0.0000  0.5000 [3 per cell]
Nb  0.0000  0.5000  0.0000 [9 per cell]
O  0.0000  0.0000  0.1328 [6 per cell]
O  0.0691  0.5346  0.3520 [18 per cell]
O  0.0868  0.5434  0.1025 [18 per cell]

Largest 6 diffraction maxima, low angle first, 5° ≤ 2θ ≤ 70°:
(hkl)  2θ (°)  I/Imax
0 0 3  14.21  78.5
1 0 1  14.46  99.4
1 1 3  27.80  46.9
0 2 1  27.93  43.2
0 0 6  28.65  37.5
2 0 2  29.15  100.0

Record 4
The following is a computed X-ray powder pattern of Sm3Co. It was derived from a crystal structure in the Materials Project, relaxed with GGA-PBE, using copper Kα.

Structure:
abc: 7.0372 9.7510 6.3829
angles: 90.00 90.00 90.00
Space group Pnma (No. 62)
Symmetry-distinct sites (fractional):
Sm  0.0444  0.2500  0.1454 [4 per cell]
Sm  0.1731  0.0690  0.6753 [8 per cell]
Co  0.1130  0.7500  0.4438 [4 per cell]

Largest 6 diffraction maxima, low angle first, 5° ≤ 2θ ≤ 70°:
(hkl)  2θ (°)  I/Imax
2 1 1  30.42  43.0
1 0 2  30.76  41.6
0 3 1  30.87  100.0
2 2 0  31.35  46.6
1 1 2  32.13  67.8
2 2 1  34.43  61.1